(1)
Structure and simulated powder XRD pattern of BaPrMnN4 (a crystal structure in Alexandria, relaxed with PBE; copper Kα).
No peak broadening, texture or thermal motion is included.

The 10 most intense peaks (2θ = 10–90°), low angle first:
| Position (°2θ) | d_spacing | I/Imax |
| --- | --- | --- |
| 22.4 | 3.970 | 100 |
| 29.5 | 3.031 | 58 |
| 29.9 | 2.985 | 60 |
| 31.7 | 2.822 | 43 |
| 32.0 | 2.793 | 58 |
| 34.3 | 2.614 | 24 |
| 36.9 | 2.438 | 43 |
| 38.0 | 2.367 | 36 |
| 40.9 | 2.209 | 21 |
| 45.7 | 1.985 | 42 |

Cell: 5.888 5.586 7.531 Å, 90.00 106.57 90.00°
Sites, in units of the cell vectors:
Ba1 0.220 0.250 0.429
Ba2 0.780 0.750 0.571
Pr1 0.268 0.250 0.950
Pr2 0.732 0.750 0.050
Mn1 0.278 0.750 0.182
Mn2 0.722 0.250 0.818
N1 0.094 0.750 0.322
N2 0.111 0.750 0.958
N3 0.461 0.508 0.221
N4 0.461 0.992 0.221
N5 0.539 0.008 0.779
N6 0.539 0.492 0.779
N7 0.889 0.250 0.042
N8 0.906 0.250 0.678

(2)
Structure and simulated powder XRD pattern of SrSc4PbS8 (a crystal structure in Alexandria, relaxed with PBE; copper Kα).
No peak broadening, texture or thermal motion is included.

The 10 most intense peaks (2θ = 10–90°), low angle first:
| Position (°2θ) | d_spacing | I/Imax |
| --- | --- | --- |
| 13.9 | 6.351 | 27 |
| 15.8 | 5.593 | 27 |
| 21.9 | 4.060 | 32 |
| 23.1 | 3.857 | 54 |
| 25.5 | 3.489 | 51 |
| 26.6 | 3.357 | 100 |
| 42.0 | 2.149 | 30 |
| 42.7 | 2.117 | 28 |
| 44.6 | 2.030 | 48 |
| 47.1 | 1.929 | 47 |

Cell: 8.143 8.143 8.143 Å, 56.55 56.55 56.55°
Sites, in units of the cell vectors:
Sr1 0.000 0.000 0.000
Sc1 0.377 0.377 0.377
Sc2 0.506 0.999 0.999
Sc3 0.999 0.506 0.999
Sc4 0.999 0.999 0.506
Pb1 0.628 0.628 0.628
S1 0.211 0.745 0.745
S2 0.245 0.245 0.245
S3 0.260 0.260 0.762
S4 0.260 0.762 0.260
S5 0.745 0.211 0.745
S6 0.745 0.745 0.211
S7 0.762 0.260 0.260
S8 0.772 0.772 0.772

(3)
Structure and simulated powder XRD pattern of TbEr5Tm8 (a crystal structure in Alexandria, relaxed with PBE; copper Kα).
No peak broadening, texture or thermal motion is included.

The 10 most intense peaks (2θ = 10–90°), low angle first:
| Position (°2θ) | d_spacing | I/Imax |
| --- | --- | --- |
| 28.5 | 3.127 | 58 |
| 29.9 | 2.989 | 68 |
| 30.1 | 2.973 | 75 |
| 32.4 | 2.763 | 22 |
| 34.4 | 2.603 | 100 |
| 35.2 | 2.552 | 47 |
| 35.6 | 2.522 | 54 |
| 56.2 | 1.635 | 16 |
| 60.6 | 1.527 | 16 |
| 64.3 | 1.448 | 21 |

Cell: 8.302 8.302 8.302 Å, 111.04 111.04 106.39°
Sites, in units of the cell vectors:
Tb1 0.000 0.000 0.000
Er1 0.213 0.037 0.598
Er2 0.385 0.787 0.824
Er3 0.439 0.615 0.402
Er4 0.750 0.250 0.500
Er5 0.963 0.561 0.176
Tm1 0.088 0.327 0.419
Tm2 0.169 0.416 0.895
Tm3 0.331 0.912 0.239
Tm4 0.522 0.275 0.105
Tm5 0.584 0.478 0.753
Tm6 0.673 0.092 0.761
Tm7 0.725 0.831 0.247
Tm8 0.908 0.669 0.581

(4)
Structure and simulated powder XRD pattern of SrTb2Pr6 (a crystal structure in Alexandria, relaxed with PBE; copper Kα).
No peak broadening, texture or thermal motion is included.

The 10 most intense peaks (2θ = 10–90°), low angle first:
| Position (°2θ) | d_spacing | I/Imax |
| --- | --- | --- |
| 29.4 | 3.042 | 100 |
| 34.0 | 2.639 | 34 |
| 34.2 | 2.625 | 17 |
| 48.9 | 1.862 | 30 |
| 57.9 | 1.593 | 14 |
| 58.0 | 1.589 | 14 |
| 58.2 | 1.585 | 15 |
| 60.8 | 1.523 | 6 |
| 61.0 | 1.519 | 6 |
| 79.3 | 1.209 | 8 |

Cell: 8.347 8.347 8.352 Å, 107.69 107.69 36.66°
Sites, in units of the cell vectors:
Sr1 0.000 0.000 0.000
Tb1 0.112 0.112 0.658
Tb2 0.888 0.888 0.342
Pr1 0.226 0.226 0.339
Pr2 0.327 0.327 0.004
Pr3 0.444 0.444 0.652
Pr4 0.556 0.556 0.348
Pr5 0.673 0.673 0.996
Pr6 0.774 0.774 0.661

(5)
Structure and simulated powder XRD pattern of Dy3CdS6 (a crystal structure in Alexandria, relaxed with PBE; copper Kα).
No peak broadening, texture or thermal motion is included.

The 10 most intense peaks (2θ = 10–90°), low angle first:
| Position (°2θ) | d_spacing | I/Imax |
| --- | --- | --- |
| 25.3 | 3.518 | 100 |
| 25.9 | 3.437 | 81 |
| 26.4 | 3.377 | 16 |
| 29.1 | 3.067 | 17 |
| 35.3 | 2.545 | 17 |
| 37.3 | 2.411 | 40 |
| 38.6 | 2.333 | 20 |
| 43.3 | 2.092 | 38 |
| 48.3 | 1.884 | 15 |
| 49.4 | 1.845 | 32 |

Cell: 8.386 8.386 6.754 Å, 90.00 90.00 100.59°
Sites, in units of the cell vectors:
Dy1 0.099 0.901 0.500
Dy2 0.219 0.417 0.410
Dy3 0.417 0.219 0.910
Dy4 0.583 0.781 0.410
Dy5 0.781 0.583 0.910
Dy6 0.901 0.099 0.000
Cd1 0.297 0.703 0.890
Cd2 0.703 0.297 0.390
S1 0.048 0.595 0.675
S2 0.129 0.197 0.707
S3 0.197 0.129 0.207
S4 0.274 0.726 0.255
S5 0.405 0.952 0.675
S6 0.471 0.529 0.699
S7 0.529 0.471 0.199
S8 0.595 0.048 0.175
S9 0.726 0.274 0.755
S10 0.803 0.871 0.707
S11 0.871 0.803 0.207
S12 0.952 0.405 0.175

(6)
Structure and simulated powder XRD pattern of Mo3Pt2 (a crystal structure in Alexandria, relaxed with PBE; copper Kα).
No peak broadening, texture or thermal motion is included.

The 10 most intense peaks (2θ = 10–90°), low angle first:
| Position (°2θ) | d_spacing | I/Imax |
| --- | --- | --- |
| 22.6 | 3.930 | 16 |
| 37.4 | 2.404 | 20 |
| 39.1 | 2.306 | 100 |
| 39.6 | 2.278 | 9 |
| 39.8 | 2.268 | 19 |
| 41.8 | 2.159 | 51 |
| 44.0 | 2.059 | 9 |
| 47.6 | 1.909 | 29 |
| 68.3 | 1.373 | 14 |
| 72.0 | 1.312 | 20 |

Cell: 7.235 5.382 8.344 Å, 59.01 39.62 81.37°
Sites, in units of the cell vectors:
Mo1 0.000 0.000 0.000
Mo2 0.250 0.250 0.250
Mo3 0.387 0.501 0.408
Mo4 0.501 0.387 0.704
Mo5 0.546 0.842 0.749
Mo6 0.842 0.546 0.863
Pt1 0.095 0.755 0.311
Pt2 0.412 0.939 0.495
Pt3 0.755 0.095 0.838
Pt4 0.939 0.412 0.155